Entry 1:
The following is a computed powder diffraction line list of Ba4Sn3O10. It was derived from a DFT-relaxed cell (GGA-PBE, Alexandria), using Cu Kα (weighted mean of Kα1 and Kα2).

Structural model:
abc: 15.379 15.379 15.379
angles: 164.29 164.29 22.29
Fractional positions:
Ba 0.069 0.069 0.000
Ba 0.203 0.203 0.000
Ba 0.797 0.797 0.000
Ba 0.931 0.931 0.000
Sn 0.361 0.361 0.000
Sn 0.500 0.500 0.000
Sn 0.639 0.639 0.000
O 0.000 0.500 0.500
O 0.138 0.638 0.500
O 0.292 0.292 0.000
O 0.362 0.862 0.500
O 0.431 0.431 0.000
O 0.500 0.000 0.500
O 0.569 0.569 0.000
O 0.638 0.138 0.500
O 0.708 0.708 0.000
O 0.862 0.362 0.500

Largest 10 diffraction maxima, low angle first, 2θ = 15–90°:
two_theta, I_rel
29.68, 100
30.07, 57
41.91, 13
43.04, 32
52.44, 17
53.16, 41
61.64, 16
62.50, 10
70.90, 10
86.48, 11

---

Entry 2:
The following is a computed powder diffraction line list of PmDy2Ru. It was derived from a DFT-relaxed cell (GGA-PBE, Alexandria), using Cu Kα (weighted mean of Kα1 and Kα2).

Structural model:
abc: 3.441 3.441 9.048
angles: 90.00 90.00 90.00
Fractional positions:
Pm 0.000 0.000 0.000
Dy 0.500 0.500 0.319
Dy 0.500 0.500 0.681
Ru 0.000 0.000 0.500

Largest 10 diffraction maxima, low angle first, 2θ = 15–90°:
two_theta, I_rel
27.74, 23
29.62, 19
32.70, 100
36.95, 56
39.74, 20
48.09, 35
53.25, 19
63.90, 29
68.47, 10
73.95, 12

---

Entry 3:
The following is a computed powder diffraction line list of YGa6Fe6. It was derived from a DFT-relaxed cell (GGA-PBE, Alexandria), using Cu Kα (weighted mean of Kα1 and Kα2).

Structural model:
abc: 8.582 6.645 6.557
angles: 81.09 49.90 49.00
Fractional positions:
Y 0.000 0.000 0.000
Ga 0.000 0.000 0.500
Ga 0.017 0.351 0.649
Ga 0.351 0.017 0.983
Ga 0.500 0.500 0.000
Ga 0.649 0.983 0.017
Ga 0.983 0.649 0.351
Fe 0.000 0.500 0.000
Fe 0.291 0.494 0.506
Fe 0.494 0.291 0.709
Fe 0.500 0.000 0.500
Fe 0.506 0.709 0.291
Fe 0.709 0.506 0.494

Largest 10 diffraction maxima, low angle first, 2θ = 15–90°:
two_theta, I_rel
34.53, 23
35.84, 72
40.60, 100
41.48, 69
42.01, 46
42.12, 60
45.83, 27
46.16, 40
47.70, 24
75.95, 32